Structure and simulated XRD peak list of SiO (a cell relaxed with GGA-PBE; copper Kα).
Kinematic intensities with the Lorentz-polarization factor, no thermal factor.

```
SiO
1.0
4.5281 0.0000 0.0000
-2.2641 3.9215 0.0000
0.0000 0.0000 9.5846
Si O
6 6
Direct
0.0000 0.5000 0.0594
0.0000 0.5000 0.6073
0.5000 0.0000 0.2739
0.5000 0.0000 0.7261
0.5000 0.5000 0.3927
0.5000 0.5000 0.9406
0.1685 0.3369 0.5000
0.1685 0.8315 0.1667
0.3369 0.1685 0.8333
0.6631 0.8315 0.8333
0.8315 0.1685 0.1667
0.8315 0.6631 0.5000
```

Principal peaks in the range 15 to 90 degrees two-theta, in order of falling intensity:
- 29.4°, 3.035 Å, intensity 100.0
- 55.9°, 1.646 Å, intensity 16.3
- 66.0°, 1.416 Å, intensity 15.8
- 41.0°, 2.203 Å, intensity 12.2
- 54.9°, 1.671 Å, intensity 10.4
- 46.3°, 1.961 Å, intensity 9.9
- 44.3°, 2.046 Å, intensity 8.8
- 22.7°, 3.921 Å, intensity 8.5



Structure and simulated XRD peak list of Tl6Hg3Pb (a cell relaxed with GGA-PBE; copper Kα).
Kinematic intensities with the Lorentz-polarization factor, no thermal factor.

```
Tl6Hg3Pb
1.0
4.6735 2.6983 4.0652
-4.6735 2.6983 4.0652
0.0000 -5.3965 4.0652
Tl Hg Pb
6 3 1
Direct
0.9997 0.3474 0.6529
0.1584 0.8418 0.4997
0.3474 0.6529 0.9997
0.4997 0.1584 0.8418
0.6529 0.9997 0.3474
0.8418 0.4997 0.1584
0.2561 0.2561 0.2561
0.5012 0.5012 0.5012
0.7463 0.7463 0.7463
0.0010 0.0010 0.0010
```

Principal peaks in the range 15 to 90 degrees two-theta, in order of falling intensity:
- 33.2°, 2.698 Å, intensity 100.0
- 29.1°, 3.067 Å, intensity 75.7
- 44.7°, 2.026 Å, intensity 23.3
- 56.8°, 1.620 Å, intensity 22.4
- 59.3°, 1.558 Å, intensity 18.8
- 41.8°, 2.160 Å, intensity 18.5
- 31.4°, 2.853 Å, intensity 16.9
- 56.7°, 1.624 Å, intensity 16.0



Structure and simulated XRD peak list of Pm7TlSn3 (a cell relaxed with GGA-PBE; copper Kα).
Kinematic intensities with the Lorentz-polarization factor, no thermal factor.

```
Pm7TlSn3
1.0
-2.9963 4.8118 5.9501
2.9963 -4.8118 5.9501
2.9963 4.8118 -5.9501
Pm Tl Sn
7 1 3
Direct
0.0000 0.0000 0.0000
0.0976 0.7658 0.3319
0.3297 0.5000 0.8297
0.4339 0.7658 0.6681
0.5661 0.2342 0.3319
0.6703 0.5000 0.1703
0.9024 0.2342 0.6681
0.0000 0.5000 0.5000
0.2637 0.2637 0.0000
0.5000 0.0000 0.5000
0.7363 0.7363 0.0000
```

Principal peaks in the range 15 to 90 degrees two-theta, in order of falling intensity:
- 35.1°, 2.554 Å, intensity 100.0
- 29.8°, 2.996 Å, intensity 59.3
- 30.0°, 2.975 Å, intensity 53.9
- 42.8°, 2.111 Å, intensity 41.3
- 56.4°, 1.631 Å, intensity 26.0
- 56.7°, 1.624 Å, intensity 21.2
- 74.3°, 1.277 Å, intensity 16.5
- 28.8°, 3.097 Å, intensity 15.7



Structure and simulated XRD peak list of CeTe2I4 (a cell relaxed with GGA-PBE; copper Kα).
Kinematic intensities with the Lorentz-polarization factor, no thermal factor.

```
CeTe2I4
1.0
9.2805 -2.1974 0.0000
9.2805 2.1974 0.0000
-1.1920 0.0000 8.7524
Ce Te I
1 2 4
Direct
0.0000 0.0000 0.0000
0.2728 0.2728 0.5986
0.7272 0.7272 0.4014
0.1634 0.1634 0.1087
0.4757 0.4757 0.2403
0.5243 0.5243 0.7597
0.8366 0.8366 0.8913
```

Principal peaks in the range 15 to 90 degrees two-theta, in order of falling intensity:
- 28.7°, 3.107 Å, intensity 100.0
- 20.6°, 4.317 Å, intensity 37.2
- 41.1°, 2.197 Å, intensity 34.7
- 19.3°, 4.598 Å, intensity 31.2
- 33.6°, 2.666 Å, intensity 25.8
- 27.7°, 3.220 Å, intensity 25.1
- 22.9°, 3.889 Å, intensity 20.1
- 32.2°, 2.778 Å, intensity 17.5



Structure and simulated XRD peak list of K2P3Pd5 (a cell relaxed with GGA-PBE; copper Kα).
Kinematic intensities with the Lorentz-polarization factor, no thermal factor.

```
K2P3Pd5
1.0
-4.8149 6.3174 3.1382
4.8149 -6.3174 3.1382
4.8149 6.3174 -3.1382
K P Pd
4 6 10
Direct
0.1324 0.2415 0.3739
0.3676 0.7415 0.1091
0.6324 0.2585 0.8909
0.8676 0.7585 0.6261
0.1199 0.6232 0.7431
0.2500 0.2500 0.0000
0.3801 0.1232 0.5033
0.6199 0.8768 0.4967
0.7500 0.7500 0.0000
0.8801 0.3768 0.2569
0.0274 0.7500 0.2774
0.1079 0.8769 0.9848
0.2500 0.7500 0.5000
0.3921 0.3769 0.7690
0.4726 0.7500 0.7226
0.5274 0.2500 0.2774
0.6079 0.6231 0.2310
0.7500 0.2500 0.5000
0.8921 0.1231 0.0152
0.9726 0.2500 0.7226
```

Principal peaks in the range 15 to 90 degrees two-theta, in order of falling intensity:
- 40.5°, 2.226 Å, intensity 100.0
- 18.4°, 4.815 Å, intensity 73.9
- 34.1°, 2.629 Å, intensity 73.2
- 34.4°, 2.604 Å, intensity 60.1
- 33.9°, 2.641 Å, intensity 57.8
- 47.6°, 1.910 Å, intensity 46.9
- 30.8°, 2.904 Å, intensity 44.0
- 36.8°, 2.444 Å, intensity 41.5



Structure and simulated XRD peak list of Tb2Pm2ErMg (a cell relaxed with GGA-PBE; copper Kα).
Kinematic intensities with the Lorentz-polarization factor, no thermal factor.

```
Tb2Pm2ErMg
1.0
8.6283 -3.5170 0.0000
8.6283 3.5170 0.0000
-0.0819 0.0000 6.1850
Tb Pm Er Mg
4 4 2 2
Direct
0.0406 0.2888 0.0855
0.2888 0.0406 0.5855
0.7112 0.9594 0.4145
0.9594 0.7112 0.9145
0.2077 0.4586 0.4190
0.4586 0.2077 0.9190
0.5414 0.7923 0.0810
0.7923 0.5414 0.5810
0.1308 0.8692 0.2500
0.8692 0.1308 0.7500
0.3680 0.6320 0.7500
0.6320 0.3680 0.2500
```

Principal peaks in the range 15 to 90 degrees two-theta, in order of falling intensity:
- 31.0°, 2.888 Å, intensity 100.0
- 36.1°, 2.487 Å, intensity 66.3
- 31.1°, 2.876 Å, intensity 51.7
- 30.8°, 2.899 Å, intensity 50.6
- 35.5°, 2.529 Å, intensity 35.8
- 61.9°, 1.499 Å, intensity 27.8
- 51.4°, 1.779 Å, intensity 25.7
- 52.0°, 1.758 Å, intensity 24.1



Structure and simulated XRD peak list of Pr2HoTm6 (a cell relaxed with GGA-PBE; copper Kα).
Kinematic intensities with the Lorentz-polarization factor, no thermal factor.

```
Pr2HoTm6
1.0
6.3769 -7.0757 0.0000
6.3769 7.0757 0.0000
-1.5050 0.0000 6.3492
Pr Ho Tm
4 2 12
Direct
0.1165 0.1708 0.3759
0.1708 0.1165 0.8759
0.8292 0.8835 0.1241
0.8835 0.8292 0.6241
0.3831 0.6169 0.7500
0.6169 0.3831 0.2500
0.0394 0.4426 0.7334
0.1550 0.7748 0.9978
0.2252 0.8450 0.5022
0.2787 0.4588 0.1859
0.4426 0.0394 0.2334
0.4588 0.2787 0.6859
0.5412 0.7213 0.3141
0.5574 0.9606 0.7666
0.7213 0.5412 0.8141
0.7748 0.1550 0.4978
0.8450 0.2252 0.0022
0.9606 0.5574 0.2666
```

Principal peaks in the range 15 to 90 degrees two-theta, in order of falling intensity:
- 31.2°, 2.864 Å, intensity 100.0
- 31.7°, 2.826 Å, intensity 85.8
- 31.5°, 2.841 Å, intensity 64.9
- 32.4°, 2.759 Å, intensity 62.5
- 28.9°, 3.090 Å, intensity 53.4
- 33.8°, 2.650 Å, intensity 50.1
- 29.0°, 3.074 Å, intensity 45.7
- 33.4°, 2.683 Å, intensity 40.1



Structure and simulated XRD peak list of Co2Ni2H7 (a cell relaxed with GGA-PBE; copper Kα).
Kinematic intensities with the Lorentz-polarization factor, no thermal factor.

```
Co2Ni2H7
1.0
2.7235 -2.9537 0.0000
2.7235 2.9537 0.0000
0.0000 0.0000 3.9415
Co Ni H
2 2 7
Direct
0.2343 0.7657 0.0000
0.7657 0.2343 0.0000
0.2606 0.2606 0.5000
0.7394 0.7394 0.5000
0.0000 0.0000 0.2473
0.0000 0.0000 0.7527
0.0000 0.5000 0.2549
0.0000 0.5000 0.7451
0.5000 0.0000 0.2549
0.5000 0.0000 0.7451
0.5000 0.5000 0.0000
```

Principal peaks in the range 15 to 90 degrees two-theta, in order of falling intensity:
- 38.1°, 2.364 Å, intensity 100.0
- 40.2°, 2.241 Å, intensity 87.9
- 45.3°, 2.002 Å, intensity 56.0
- 66.6°, 1.405 Å, intensity 35.2
- 46.1°, 1.971 Å, intensity 27.9
- 77.4°, 1.233 Å, intensity 20.3
- 81.6°, 1.180 Å, intensity 17.9
- 62.9°, 1.477 Å, intensity 10.2



Structure and simulated XRD peak list of Al2CdCl8 (a cell relaxed with GGA-PBE; copper Kα).
Kinematic intensities with the Lorentz-polarization factor, no thermal factor.

```
Al2CdCl8
1.0
7.1993 0.0000 0.0000
0.0000 7.2496 0.0000
-0.5095 0.0000 13.2907
Al Cd Cl
4 2 16
Direct
0.0000 0.0641 0.0000
0.0000 0.9359 0.5000
0.4167 0.3960 0.7978
0.4167 0.6040 0.2978
0.8583 0.2256 0.7623
0.8583 0.7744 0.2623
0.0110 0.0680 0.3509
0.0110 0.9320 0.8509
0.1605 0.4022 0.7021
0.1605 0.5978 0.2021
0.2539 0.0704 0.0821
0.2539 0.9296 0.5821
0.3822 0.4632 0.4340
0.3822 0.5368 0.9340
0.5112 0.1114 0.8141
0.5112 0.8886 0.3141
0.6420 0.4830 0.2122
0.6420 0.5170 0.7122
0.7828 0.0795 0.5807
0.7828 0.9205 0.0807
0.8971 0.3385 0.9579
0.8971 0.6615 0.4579
```

Principal peaks in the range 15 to 90 degrees two-theta, in order of falling intensity:
- 30.4°, 2.938 Å, intensity 100.0
- 18.5°, 4.807 Å, intensity 99.1
- 29.6°, 3.021 Å, intensity 89.6
- 44.3°, 2.045 Å, intensity 76.8
- 28.5°, 3.133 Å, intensity 76.4
- 17.4°, 5.106 Å, intensity 66.0
- 23.5°, 3.780 Å, intensity 60.1
- 28.3°, 3.157 Å, intensity 60.0



Structure and simulated XRD peak list of NdYCdAg (a cell relaxed with GGA-PBE; copper Kα).
Kinematic intensities with the Lorentz-polarization factor, no thermal factor.

```
NdYCdAg
1.0
3.7314 0.0000 0.0000
0.0000 3.7314 0.0000
0.0000 0.0000 7.5840
Nd Y Cd Ag
1 1 1 1
Direct
0.0000 0.0000 0.0000
0.0000 0.0000 0.4848
0.5000 0.5000 0.7314
0.5000 0.5000 0.2612
```

Principal peaks in the range 15 to 90 degrees two-theta, in order of falling intensity:
- 33.7°, 2.660 Å, intensity 100.0
- 34.0°, 2.639 Å, intensity 50.0
- 60.6°, 1.527 Å, intensity 35.1
- 48.8°, 1.866 Å, intensity 17.6
- 60.1°, 1.540 Å, intensity 16.9
- 70.9°, 1.330 Å, intensity 10.2
- 48.0°, 1.896 Å, intensity 8.5
- 81.6°, 1.180 Å, intensity 7.6